The following is a calculated X-ray powder pattern of Rb2GaPdI6. It was derived from a DFT-relaxed cell (PBE, Alexandria), using λ = 1.5418 Å (Cu Kα).

Largest 10 diffraction maxima, sorted by position, 10° ≤ 2θ ≤ 80°:
index, 2θ/deg, intensity
1 1 0, 15.34, 31
2 0 2, 26.73, 88
0 0 4, 30.96, 100
1 1 4, 34.72, 16
2 2 4, 44.35, 73
2 0 6, 52.54, 39
4 0 4, 55.07, 25
0 0 8, 64.53, 12
4 2 6, 71.14, 16
2 2 8, 73.28, 32

Structure:
abc: 8.170 8.170 11.551
angles: 90.00 90.00 90.00
Space group I4/mmm (No. 139)
One atom of each set of equivalent atoms:
Rb1 0.000 0.500 0.250
Ga1 0.000 0.000 0.000
Pd1 0.000 0.000 0.500
I1 0.000 0.000 0.255
I2 0.243 0.243 0.500

=====

The following is a calculated X-ray powder pattern of Cd6In16Hg7. It was derived from a DFT-relaxed cell (PBE, Alexandria), using λ = 1.5418 Å (Cu Kα).

Largest 10 diffraction maxima, sorted by position, 10° ≤ 2θ ≤ 80°:
index, 2θ/deg, intensity
2 2 2, 20.90, 32
3 3 3, 31.58, 32
4 4 0, 34.47, 100
5 3 1, 36.10, 16
6 0 0, 36.63, 17
6 2 2, 40.66, 36
8 0 0, 49.54, 19
6 6 2, 54.33, 16
8 4 4, 61.74, 20
9 3 3, 62.81, 14

Structure:
abc: 14.720 14.720 14.720
angles: 90.00 90.00 90.00
Space group Fm-3m (No. 225)
One atom of each set of equivalent atoms:
Cd1 0.000 0.000 0.161
In1 0.120 0.120 0.380
In2 0.152 0.152 0.152
Hg1 0.000 0.000 0.500
Hg2 0.000 0.250 0.250

=====

The following is a calculated X-ray powder pattern of LaPr5Sn4. It was derived from a DFT-relaxed cell (PBE, Alexandria), using λ = 1.5418 Å (Cu Kα).

Largest 10 diffraction maxima, sorted by position, 10° ≤ 2θ ≤ 80°:
index, 2θ/deg, intensity
3 1 0, 22.59, 19
0 2 0, 32.16, 100
3 1 -2, 33.24, 92
3 1 2, 33.36, 91
6 2 0, 46.13, 36
0 0 4, 49.45, 15
3 3 -2, 58.00, 36
3 3 2, 58.15, 36
0 2 4, 60.22, 17
6 4 0, 76.55, 16

Structure:
abc: 16.697 5.566 7.373
angles: 90.00 90.28 90.00
Space group C2/m (No. 12)
One atom of each set of equivalent atoms:
La1 0.000 0.000 0.000
Pr1 0.000 0.000 0.500
Pr2 0.166 0.500 0.510
Pr3 0.166 0.500 0.993
Sn1 0.009 0.500 0.253
Sn2 0.176 0.000 0.749

=====

The following is a calculated X-ray powder pattern of Rb2Tl4Br3F2. It was derived from a DFT-relaxed cell (PBE, Alexandria), using λ = 1.5418 Å (Cu Kα).

Largest 10 diffraction maxima, sorted by position, 10° ≤ 2θ ≤ 80°:
index, 2θ/deg, intensity
0 0 4, 11.26, 18
0 0 6, 16.92, 30
0 0 8, 22.63, 22
1 1 2, 25.72, 48
1 1 4, 27.57, 28
1 1 6, 30.41, 100
2 0 0, 35.77, 48
1 1 12, 42.90, 29
2 0 10, 46.28, 17
3 1 6, 60.97, 28

Structure:
abc: 5.021 5.021 31.444
angles: 90.00 90.00 90.00
Space group I4/mmm (No. 139)
One atom of each set of equivalent atoms:
Rb1 0.000 0.000 0.198
Tl1 0.000 0.500 0.082
Br1 0.000 0.000 0.311
Br2 0.000 0.000 0.500
F1 0.000 0.000 0.111

=====

The following is a calculated X-ray powder pattern of TlTcAs4. It was derived from a DFT-relaxed cell (PBE, Alexandria), using λ = 1.5418 Å (Cu Kα).

Largest 10 diffraction maxima, sorted by position, 10° ≤ 2θ ≤ 80°:
index, 2θ/deg, intensity
1 1 1, 19.27, 10
2 2 0, 31.73, 50
3 1 1, 37.39, 100
2 2 2, 39.12, 22
4 2 2, 56.52, 20
3 3 3, 60.29, 33
4 4 0, 66.29, 25
6 2 0, 75.36, 8
5 3 3, 78.66, 11
6 2 2, 79.75, 8

Structure:
abc: 7.976 7.976 7.976
angles: 90.00 90.00 90.00
Space group F-43m (No. 216)
One atom of each set of equivalent atoms:
Tl1 0.000 0.000 0.000
Tc1 0.250 0.250 0.250
As1 0.125 0.125 0.625

=====

The following is a calculated X-ray powder pattern of ZnCd4Au4. It was derived from a DFT-relaxed cell (PBE, Alexandria), using λ = 1.5418 Å (Cu Kα).

Largest 10 diffraction maxima, sorted by position, 10° ≤ 2θ ≤ 80°:
index, 2θ/deg, intensity
2 2 0, 32.91, 83
0 2 4, 37.45, 100
2 0 4, 37.66, 65
3 1 1, 37.90, 33
1 1 5, 40.40, 20
1 3 3, 43.09, 20
3 1 3, 43.48, 20
2 2 4, 44.56, 21
3 3 1, 50.88, 17
3 3 5, 63.86, 20

Structure:
abc: 7.642 7.754 12.239
angles: 90.00 90.00 90.00
Space group Fmm2 (No. 42)
One atom of each set of equivalent atoms:
Zn1 0.000 0.000 0.000
Cd1 0.000 0.210 0.821
Cd2 0.211 0.000 0.179
Au1 0.000 0.193 0.587
Au2 0.192 0.000 0.412